(1)
For Na2CdSnS4, the PBE geometry in the Materials Project gives the calculated X-ray diffraction stick pattern in this record (Cu Kα, 1.54184 Å).
Intensities are scaled so that the largest is 100.

The 10 most intense peaks (15° ≤ 2θ ≤ 90°), sorted by position:
h k l  2θ (°)  d/Å  I (rel.)
1 0 1  16.07  5.515  67
1 1 2  25.65  3.473  100
1 2 1  32.29  2.772  16
2 2 0  39.75  2.268  25
2 1 3  40.20  2.243  14
2 0 4  43.83  2.065  39
3 1 2  47.91  1.899  34
1 1 6  54.88  1.673  11
1 3 6  69.87  1.346  11
2 4 4  74.99  1.267  13

Structure:
Cell lengths 6.4138, 6.4138, 10.7994 Å; angles 90.00, 90.00, 90.00 degrees
Space group I-4 (No. 82)
Symmetry-distinct sites (fractional):
Na 0.0000 0.0000 0.0000
Na 0.0000 0.5000 0.2500
Cd 0.0000 0.5000 0.7500
Sn 0.0000 0.0000 0.5000
S 0.2115 0.7639 0.6226


(2)
For NaCdSb, the PBE geometry in the Materials Project gives the calculated X-ray diffraction stick pattern in this record (Cu Kα, 1.54184 Å).
Intensities are scaled so that the largest is 100.

The 10 most intense peaks (15° ≤ 2θ ≤ 90°), sorted by position:
h k l  2θ (°)  d/Å  I (rel.)
1 0 1  15.01  5.900  72
0 1 1  21.22  4.188  85
2 0 0  21.98  4.043  55
1 1 2  29.98  2.980  58
2 1 1  30.74  2.909  71
3 0 1  34.87  2.573  50
0 1 3  36.44  2.466  100
0 2 0  37.56  2.395  59
2 1 3  42.96  2.105  42
3 1 2  43.90  2.062  54

Structure:
Cell lengths 8.0863, 4.7899, 8.6289 Å; angles 90.00, 90.00, 90.00 degrees
Space group Pnma (No. 62)
Symmetry-distinct sites (fractional):
Na 0.0152 0.2500 0.1783
Cd 0.1498 0.2500 0.5764
Sb 0.2231 0.7500 0.3938


What did the second record say?
For NaCdSb, the PBE geometry in the Materials Project gives the calculated X-ray diffraction stick pattern in this record (Cu Kα, 1.54184 Å).
Intensities are scaled so that the largest is 100.

The 10 most intense peaks (15° ≤ 2θ ≤ 90°), sorted by position:
h k l  2θ (°)  d/Å  I (rel.)
1 0 1  15.01  5.900  72
0 1 1  21.22  4.188  85
2 0 0  21.98  4.043  55
1 1 2  29.98  2.980  58
2 1 1  30.74  2.909  71
3 0 1  34.87  2.573  50
0 1 3  36.44  2.466  100
0 2 0  37.56  2.395  59
2 1 3  42.96  2.105  42
3 1 2  43.90  2.062  54

Structure:
Cell lengths 8.0863, 4.7899, 8.6289 Å; angles 90.00, 90.00, 90.00 degrees
Space group Pnma (No. 62)
Symmetry-distinct sites (fractional):
Na 0.0152 0.2500 0.1783
Cd 0.1498 0.2500 0.5764
Sb 0.2231 0.7500 0.3938